Calculated X-ray diffraction stick pattern
Compound: HgH16Br6N4
Radiation: λ = 1.5418 Å (Cu Kα)
Structure: a crystal structure in the Materials Project, relaxed with PBE

Top 12 peaks for 2θ from 10° to 90°, sorted by position:
2θ (°)  Rel. int.
13.27  52
13.52  93
18.80  30
21.05  23
26.71  26
28.85  58
29.94  100
30.97  33
35.69  24
42.85  26
45.79  26
50.45  37

Crystal structure
```
data_HgH16Br6N4
_space_group_name_H-M_alt 'P 1'
_space_group_IT_number 1
_cell_length_a 9.439
_cell_length_b 9.439
_cell_length_c 9.098
_cell_angle_alpha 90.00
_cell_angle_beta 90.00
_cell_angle_gamma 90.00
loop_
_space_group_symop_operation_xyz
'x,y,z'
loop_
_atom_site_label
_atom_site_type_symbol
_atom_site_fract_x
_atom_site_fract_y
_atom_site_fract_z
Hg1 Hg 0.000 0.000 0.000
Hg2 Hg 0.500 0.500 0.500
H1 H 0.058 0.353 0.180
H2 H 0.058 0.353 0.820
H3 H 0.146 0.263 0.312
H4 H 0.146 0.263 0.688
H5 H 0.147 0.442 0.320
H6 H 0.147 0.442 0.680
H7 H 0.237 0.354 0.188
H8 H 0.237 0.354 0.812
H9 H 0.263 0.854 0.312
H10 H 0.263 0.854 0.688
H11 H 0.353 0.942 0.180
H12 H 0.353 0.942 0.820
H13 H 0.354 0.763 0.188
H14 H 0.354 0.763 0.812
H15 H 0.442 0.853 0.320
H16 H 0.442 0.853 0.680
H17 H 0.558 0.147 0.320
H18 H 0.558 0.147 0.680
H19 H 0.646 0.237 0.188
H20 H 0.646 0.237 0.812
H21 H 0.647 0.058 0.180
H22 H 0.647 0.058 0.820
H23 H 0.737 0.146 0.312
H24 H 0.737 0.146 0.688
H25 H 0.763 0.646 0.188
H26 H 0.763 0.646 0.812
H27 H 0.853 0.558 0.320
H28 H 0.853 0.558 0.680
H29 H 0.854 0.737 0.312
H30 H 0.854 0.737 0.688
H31 H 0.942 0.647 0.180
H32 H 0.942 0.647 0.820
Br1 Br 0.000 0.000 0.280
Br2 Br 0.000 0.000 0.720
Br3 Br 0.119 0.678 0.000
Br4 Br 0.178 0.619 0.500
Br5 Br 0.322 0.119 0.000
Br6 Br 0.381 0.178 0.500
Br7 Br 0.500 0.500 0.220
Br8 Br 0.500 0.500 0.780
Br9 Br 0.619 0.822 0.500
Br10 Br 0.678 0.881 0.000
Br11 Br 0.822 0.381 0.500
Br12 Br 0.881 0.322 0.000
N1 N 0.146 0.354 0.250
N2 N 0.146 0.354 0.750
N3 N 0.354 0.854 0.250
N4 N 0.354 0.854 0.750
N5 N 0.646 0.146 0.250
N6 N 0.646 0.146 0.750
N7 N 0.854 0.646 0.250
N8 N 0.854 0.646 0.750
```

Calculated X-ray diffraction stick pattern
Compound: K4MgZn4H16Br12O8
Radiation: λ = 1.5418 Å (Cu Kα)
Structure: a crystal structure in the Materials Project, relaxed with PBE

Top 12 peaks for 2θ from 10° to 90°, sorted by position:
2θ (°)  Rel. int.
13.72  16
14.04  23
16.86  19
21.78  13
25.74  29
25.99  26
26.80  100
27.10  26
27.65  24
33.38  16
34.12  19
38.50  18

Crystal structure
```
data_K4MgZn4H16Br12O8
_space_group_name_H-M_alt 'P 1'
_space_group_IT_number 1
_cell_length_a 6.888
_cell_length_b 10.945
_cell_length_c 12.909
_cell_angle_alpha 88.77
_cell_angle_beta 88.98
_cell_angle_gamma 78.49
loop_
_space_group_symop_operation_xyz
'x,y,z'
loop_
_atom_site_label
_atom_site_type_symbol
_atom_site_fract_x
_atom_site_fract_y
_atom_site_fract_z
K1 K 0.000 0.000 0.000
K2 K 0.021 0.516 0.539
K3 K 0.449 0.992 0.349
K4 K 0.490 0.519 0.868
Mg1 Mg 0.563 0.471 0.346
Zn1 Zn 0.442 0.243 0.100
Zn2 Zn 0.496 0.233 0.615
Zn3 Zn 0.963 0.763 0.756
Zn4 Zn 0.997 0.762 0.243
H1 H 0.023 0.219 0.815
H2 H 0.162 0.417 0.020
H3 H 0.190 0.739 0.417
H4 H 0.194 0.300 0.944
H5 H 0.221 0.864 0.551
H6 H 0.246 0.157 0.829
H7 H 0.260 0.612 0.358
H8 H 0.428 0.781 0.529
H9 H 0.514 0.728 0.033
H10 H 0.678 0.927 0.840
H11 H 0.705 0.802 0.913
H12 H 0.738 0.671 0.039
H13 H 0.741 0.185 0.446
H14 H 0.778 0.066 0.522
H15 H 0.794 0.264 0.273
H16 H 0.953 0.292 0.346
Br1 Br 0.143 0.679 0.079
Br2 Br 0.173 0.199 0.571
Br3 Br 0.273 0.825 0.780
Br4 Br 0.286 0.288 0.269
Br5 Br 0.471 0.027 0.063
Br6 Br 0.529 0.449 0.613
Br7 Br 0.614 0.149 0.782
Br8 Br 0.670 0.715 0.256
Br9 Br 0.748 0.317 0.081
Br10 Br 0.820 0.828 0.588
Br11 Br 0.978 0.543 0.793
Br12 Br 0.987 0.984 0.265
O1 O 0.123 0.191 0.868
O2 O 0.135 0.679 0.374
O3 O 0.263 0.351 0.990
O4 O 0.312 0.830 0.494
O5 O 0.630 0.696 0.989
O6 O 0.676 0.135 0.496
O7 O 0.776 0.857 0.868
O8 O 0.809 0.292 0.344
```

Calculated X-ray diffraction stick pattern
Compound: K4MgZn4H16Br12O8
Radiation: λ = 1.5418 Å (Cu Kα)
Structure: a crystal structure in the Materials Project, relaxed with PBE

Top 12 peaks for 2θ from 10° to 90°, sorted by position:
2θ (°)  Rel. int.
13.31  29
16.68  42
17.76  24
23.39  24
24.67  100
25.84  59
26.86  64
27.13  51
28.20  42
28.87  43
33.72  40
39.64  32

Crystal structure
```
data_K4MgZn4H16Br12O8
_space_group_name_H-M_alt 'P 1'
_space_group_IT_number 1
_cell_length_a 7.597
_cell_length_b 9.931
_cell_length_c 13.165
_cell_angle_alpha 92.68
_cell_angle_beta 90.29
_cell_angle_gamma 103.17
loop_
_space_group_symop_operation_xyz
'x,y,z'
loop_
_atom_site_label
_atom_site_type_symbol
_atom_site_fract_x
_atom_site_fract_y
_atom_site_fract_z
K1 K 0.000 0.000 0.000
K2 K 0.018 0.501 0.441
K3 K 0.426 0.486 0.827
K4 K 0.519 0.007 0.348
Mg1 Mg 0.766 0.264 0.678
Zn1 Zn 0.481 0.306 0.596
Zn2 Zn 0.500 0.255 0.087
Zn3 Zn 0.970 0.751 0.734
Zn4 Zn 0.971 0.748 0.221
H1 H 0.092 0.239 0.297
H2 H 0.203 0.135 0.499
H3 H 0.232 0.782 0.884
H4 H 0.235 0.928 0.828
H5 H 0.248 0.361 0.271
H6 H 0.252 0.639 0.016
H7 H 0.282 0.241 0.418
H8 H 0.434 0.742 0.997
H9 H 0.569 0.737 0.497
H10 H 0.705 0.568 0.298
H11 H 0.728 0.293 0.930
H12 H 0.730 0.708 0.372
H13 H 0.752 0.438 0.993
H14 H 0.752 0.849 0.497
H15 H 0.760 0.065 0.804
H16 H 0.952 0.168 0.807
Br1 Br 0.061 0.812 0.568
Br2 Br 0.225 0.332 0.069
Br3 Br 0.228 0.156 0.793
Br4 Br 0.258 0.697 0.254
Br5 Br 0.393 0.538 0.571
Br6 Br 0.512 0.018 0.053
Br7 Br 0.644 0.329 0.251
Br8 Br 0.704 0.824 0.796
Br9 Br 0.846 0.666 0.054
Br10 Br 0.889 0.162 0.523
Br11 Br 0.958 0.503 0.766
Br12 Br 0.962 0.989 0.249
O1 O 0.160 0.837 0.846
O2 O 0.176 0.320 0.329
O3 O 0.320 0.181 0.470
O4 O 0.331 0.681 0.961
O5 O 0.646 0.805 0.454
O6 O 0.663 0.352 0.969
O7 O 0.794 0.649 0.327
O8 O 0.817 0.165 0.806
```

Calculated X-ray diffraction stick pattern
Compound: K4MgZn4H16Br12O8
Radiation: λ = 1.5418 Å (Cu Kα)
Structure: a crystal structure in the Materials Project, relaxed with PBE

Top 12 peaks for 2θ from 10° to 90°, sorted by position:
2θ (°)  Rel. int.
13.83  79
16.90  47
24.59  35
25.01  42
25.31  65
25.82  100
27.17  75
27.63  81
27.77  52
28.06  85
31.27  40
40.80  58

Crystal structure
```
data_K4MgZn4H16Br12O8
_space_group_name_H-M_alt 'P 1'
_space_group_IT_number 1
_cell_length_a 7.498
_cell_length_b 10.029
_cell_length_c 12.886
_cell_angle_alpha 91.24
_cell_angle_beta 93.92
_cell_angle_gamma 98.09
loop_
_space_group_symop_operation_xyz
'x,y,z'
loop_
_atom_site_label
_atom_site_type_symbol
_atom_site_fract_x
_atom_site_fract_y
_atom_site_fract_z
K1 K 0.000 0.000 0.000
K2 K 0.138 0.534 0.503
K3 K 0.413 0.482 0.875
K4 K 0.559 0.009 0.338
Mg1 Mg 0.808 0.677 0.685
Zn1 Zn 0.030 0.752 0.254
Zn2 Zn 0.122 0.835 0.707
Zn3 Zn 0.564 0.266 0.115
Zn4 Zn 0.566 0.241 0.601
H1 H 0.068 0.287 0.331
H2 H 0.252 0.363 0.302
H3 H 0.282 0.816 0.918
H4 H 0.294 0.676 0.070
H5 H 0.297 0.228 0.439
H6 H 0.301 0.085 0.497
H7 H 0.362 0.950 0.868
H8 H 0.476 0.736 0.029
H9 H 0.617 0.804 0.541
H10 H 0.749 0.166 0.840
H11 H 0.783 0.307 0.962
H12 H 0.785 0.576 0.341
H13 H 0.800 0.445 0.034
H14 H 0.814 0.705 0.420
H15 H 0.819 0.876 0.558
H16 H 0.926 0.265 0.832
Br1 Br 0.023 0.986 0.287
Br2 Br 0.260 0.315 0.085
Br3 Br 0.321 0.676 0.271
Br4 Br 0.350 0.856 0.539
Br5 Br 0.443 0.178 0.764
Br6 Br 0.553 0.486 0.585
Br7 Br 0.578 0.030 0.082
Br8 Br 0.648 0.775 0.824
Br9 Br 0.704 0.341 0.286
Br10 Br 0.831 0.154 0.555
Br11 Br 0.873 0.677 0.089
Br12 Br 0.996 0.485 0.747
O1 O 0.185 0.332 0.362
O2 O 0.248 0.893 0.876
O3 O 0.354 0.694 0.005
O4 O 0.374 0.171 0.481
O5 O 0.716 0.366 0.006
O6 O 0.748 0.786 0.545
O7 O 0.863 0.202 0.880
O8 O 0.874 0.652 0.370
```

Calculated X-ray diffraction stick pattern
Compound: K4MgZn4H16Br12O8
Radiation: λ = 1.5418 Å (Cu Kα)
Structure: a crystal structure in the Materials Project, relaxed with PBE

Top 12 peaks for 2θ from 10° to 90°, sorted by position:
2θ (°)  Rel. int.
13.92  31
14.08  46
16.16  42
16.45  37
25.57  66
26.04  100
26.53  57
26.77  51
27.09  56
28.06  38
32.64  24
39.17  39

Crystal structure
```
data_K4MgZn4H16Br12O8
_space_group_name_H-M_alt 'P 1'
_space_group_IT_number 1
_cell_length_a 7.044
_cell_length_b 10.885
_cell_length_c 12.732
_cell_angle_alpha 91.79
_cell_angle_beta 91.36
_cell_angle_gamma 98.49
loop_
_space_group_symop_operation_xyz
'x,y,z'
loop_
_atom_site_label
_atom_site_type_symbol
_atom_site_fract_x
_atom_site_fract_y
_atom_site_fract_z
K1 K 0.000 0.000 0.000
K2 K 0.068 0.590 0.502
K3 K 0.555 0.081 0.345
K4 K 0.624 0.583 0.841
Mg1 Mg 0.399 0.239 0.981
Zn1 Zn 0.078 0.331 0.725
Zn2 Zn 0.084 0.348 0.250
Zn3 Zn 0.562 0.789 0.115
Zn4 Zn 0.603 0.846 0.600
H1 H 0.049 0.793 0.324
H2 H 0.182 0.847 0.801
H3 H 0.285 0.645 0.013
H4 H 0.321 0.769 0.946
H5 H 0.350 0.380 0.405
H6 H 0.370 0.503 0.335
H7 H 0.373 0.923 0.844
H8 H 0.379 0.257 0.537
H9 H 0.581 0.308 0.499
H10 H 0.728 0.376 0.020
H11 H 0.809 0.178 0.812
H12 H 0.833 0.735 0.321
H13 H 0.863 0.879 0.448
H14 H 0.866 0.299 0.890
H15 H 0.889 0.004 0.522
H16 H 0.934 0.447 0.003
Br1 Br 0.084 0.552 0.763
Br2 Br 0.096 0.128 0.254
Br3 Br 0.227 0.450 0.095
Br4 Br 0.296 0.907 0.563
Br5 Br 0.403 0.286 0.735
Br6 Br 0.439 0.741 0.287
Br7 Br 0.558 0.007 0.084
Br8 Br 0.609 0.627 0.575
Br9 Br 0.718 0.921 0.777
Br10 Br 0.775 0.403 0.283
Br11 Br 0.865 0.719 0.081
Br12 Br 0.923 0.256 0.559
O1 O 0.248 0.880 0.866
O2 O 0.276 0.438 0.366
O3 O 0.385 0.710 0.988
O4 O 0.450 0.276 0.472
O5 O 0.793 0.937 0.492
O6 O 0.813 0.412 0.965
O7 O 0.918 0.237 0.841
O8 O 0.940 0.769 0.369
```

Calculated X-ray diffraction stick pattern
Compound: KH2OsBr4N
Radiation: λ = 1.5418 Å (Cu Kα)
Structure: a crystal structure in the Materials Project, relaxed with PBE

Top 12 peaks for 2θ from 10° to 90°, sorted by position:
2θ (°)  Rel. int.
11.46  45
12.31  20
16.20  100
16.81  61
22.93  63
25.75  41
31.65  17
33.74  58
34.85  25
39.42  18
42.12  26
44.86  24

Crystal structure
```
data_KH2OsBr4N
_space_group_name_H-M_alt 'P 1'
_space_group_IT_number 1
_cell_length_a 8.523
_cell_length_b 8.523
_cell_length_c 7.756
_cell_angle_alpha 90.00
_cell_angle_beta 90.00
_cell_angle_gamma 115.03
loop_
_space_group_symop_operation_xyz
'x,y,z'
loop_
_atom_site_label
_atom_site_type_symbol
_atom_site_fract_x
_atom_site_fract_y
_atom_site_fract_z
K1 K 0.168 0.832 0.500
K2 K 0.832 0.168 0.000
H1 H 0.041 0.959 0.838
H2 H 0.357 0.643 0.284
H3 H 0.643 0.357 0.784
H4 H 0.959 0.041 0.338
Os1 Os 0.335 0.665 0.031
Os2 Os 0.665 0.335 0.531
Br1 Br 0.031 0.595 0.123
Br2 Br 0.270 0.354 0.080
Br3 Br 0.354 0.270 0.580
Br4 Br 0.405 0.969 0.123
Br5 Br 0.595 0.031 0.623
Br6 Br 0.646 0.730 0.080
Br7 Br 0.730 0.646 0.580
Br8 Br 0.969 0.405 0.623
N1 N 0.322 0.678 0.817
N2 N 0.678 0.322 0.317
```

Calculated X-ray diffraction stick pattern
Compound: KH2OsBr4N
Radiation: λ = 1.5418 Å (Cu Kα)
Structure: a crystal structure in the Materials Project, relaxed with PBE

Top 12 peaks for 2θ from 10° to 90°, sorted by position:
2θ (°)  Rel. int.
11.10  43
16.01  100
23.05  43
25.26  13
25.64  12
31.95  56
33.93  13
36.72  10
40.95  14
41.42  13
46.45  16
47.51  10

Crystal structure
```
data_KH2OsBr4N
_space_group_name_H-M_alt 'P 1'
_space_group_IT_number 1
_cell_length_a 9.202
_cell_length_b 9.202
_cell_length_c 7.719
_cell_angle_alpha 90.00
_cell_angle_beta 90.00
_cell_angle_gamma 120.52
loop_
_space_group_symop_operation_xyz
'x,y,z'
loop_
_atom_site_label
_atom_site_type_symbol
_atom_site_fract_x
_atom_site_fract_y
_atom_site_fract_z
K1 K 0.191 0.809 0.500
K2 K 0.809 0.191 0.000
H1 H 0.158 0.842 0.987
H2 H 0.282 0.718 0.781
H3 H 0.718 0.282 0.281
H4 H 0.842 0.158 0.487
Os1 Os 0.320 0.680 0.994
Os2 Os 0.680 0.320 0.494
Br1 Br 0.007 0.634 0.982
Br2 Br 0.237 0.385 0.938
Br3 Br 0.366 0.993 0.982
Br4 Br 0.385 0.237 0.438
Br5 Br 0.615 0.763 0.938
Br6 Br 0.634 0.007 0.482
Br7 Br 0.763 0.615 0.438
Br8 Br 0.993 0.366 0.482
N1 N 0.302 0.698 0.211
N2 N 0.698 0.302 0.711
```